[1]
Calculated X-ray diffraction stick pattern
Compound: Nb14ZnW
Radiation: CuKα
Structure: a structure optimized by DFT (GGA-PBE)
Kinematic intensities with the Lorentz-polarization factor, no thermal factor.

Structural model:
```
data_Nb14ZnW
_cell_length_a 6.587
_cell_length_b 6.587
_cell_length_c 6.626
_cell_angle_alpha 90.00
_cell_angle_beta 90.00
_cell_angle_gamma 90.00
_symmetry_space_group_name_H-M 'P 4/m m m'
_symmetry_Int_Tables_number 123
_symmetry_space_group_name_Hall '-P 4 2'
loop_
_atom_site_label
_atom_site_fract_x
_atom_site_fract_y
_atom_site_fract_z
Nb1 0.000 0.000 0.000
Nb2 0.000 0.500 0.000
Nb3 0.000 0.500 0.500
Nb4 0.246 0.246 0.251
Nb5 0.500 0.500 0.000
Zn1 0.500 0.500 0.500
W1 0.000 0.000 0.500
```

Top 12 peaks for 2θ = 10–90°, in order of rising 2θ:
two_theta, I_rel
13.43, 5
19.00, 3
33.28, 1
38.54, 100
38.66, 50
41.01, 1
55.47, 8
55.82, 17
69.65, 17
69.89, 33
82.61, 10
82.91, 5

[2]
Calculated X-ray diffraction stick pattern
Compound: HfMg2Cu9
Radiation: CuKα
Structure: a structure optimized by DFT (GGA-PBE)
Kinematic intensities with the Lorentz-polarization factor, no thermal factor.

Structural model:
```
data_HfMg2Cu9
_cell_length_a 4.9367
_cell_length_b 4.9367
_cell_length_c 24.1000
_cell_angle_alpha 90.00
_cell_angle_beta 90.00
_cell_angle_gamma 120.00
_symmetry_space_group_name_H-M 'R -3 m'
_symmetry_Int_Tables_number 166
_symmetry_space_group_name_Hall '-R 3 2"'
loop_
_atom_site_label
_atom_site_fract_x
_atom_site_fract_y
_atom_site_fract_z
Hf1 0.0000 0.0000 0.0000
Mg1 0.0000 0.0000 0.1426
Cu1 0.0000 0.0000 0.3332
Cu2 0.0000 0.0000 0.5000
Cu3 0.0024 0.5012 0.9163
```

Top 12 peaks for 2θ = 10–90°, in order of rising 2θ:
two_theta, I_rel
11.01, 44
25.55, 22
33.43, 17
36.44, 35
38.14, 15
42.45, 25
43.00, 100
45.15, 24
46.47, 12
50.26, 15
70.06, 18
77.31, 15

[3]
Calculated X-ray diffraction stick pattern
Compound: MnTl2SnSe5
Radiation: CuKα
Structure: a structure optimized by DFT (GGA-PBE)
Kinematic intensities with the Lorentz-polarization factor, no thermal factor.

Structural model:
```
data_MnTl2SnSe5
_cell_length_a 3.800
_cell_length_b 19.860
_cell_length_c 13.643
_cell_angle_alpha 90.00
_cell_angle_beta 90.00
_cell_angle_gamma 90.00
_symmetry_space_group_name_H-M 'C m c 21'
_symmetry_Int_Tables_number 36
_symmetry_space_group_name_Hall 'C 2c -2'
loop_
_atom_site_label
_atom_site_fract_x
_atom_site_fract_y
_atom_site_fract_z
Mn1 0.000 0.222 0.000
Tl1 0.000 0.127 0.281
Tl2 0.000 0.127 0.643
Sn1 0.000 0.440 0.411
Se1 0.000 0.034 0.033
Se2 0.000 0.287 0.615
Se3 0.000 0.309 0.380
Se4 0.000 0.339 0.968
Se5 0.000 0.499 0.249
```

Top 12 peaks for 2θ = 10–90°, in order of rising 2θ:
two_theta, I_rel
21.49, 72
27.23, 43
27.73, 80
30.11, 61
31.00, 100
32.61, 32
33.51, 30
34.08, 40
35.23, 30
38.29, 39
38.59, 30
47.87, 33

[4]
Calculated X-ray diffraction stick pattern
Compound: LiCd3Hg8
Radiation: CuKα
Structure: a structure optimized by DFT (GGA-PBE)
Kinematic intensities with the Lorentz-polarization factor, no thermal factor.

Structural model:
```
data_LiCd3Hg8
_cell_length_a 6.1417
_cell_length_b 6.1417
_cell_length_c 9.1442
_cell_angle_alpha 90.00
_cell_angle_beta 90.00
_cell_angle_gamma 120.00
_symmetry_space_group_name_H-M 'P -3 1 m'
_symmetry_Int_Tables_number 162
_symmetry_space_group_name_Hall '-P 3 2'
loop_
_atom_site_label
_atom_site_fract_x
_atom_site_fract_y
_atom_site_fract_z
Li1 0.0000 0.0000 0.0000
Cd1 0.0000 0.0000 0.5000
Cd2 0.3333 0.6667 0.5000
Hg1 0.0000 0.3202 0.7522
Hg2 0.3333 0.6667 0.0000
```

Top 12 peaks for 2θ = 10–90°, in order of rising 2θ:
two_theta, I_rel
30.71, 82
35.20, 100
39.42, 25
41.75, 37
51.55, 34
58.76, 13
61.21, 11
63.96, 18
66.77, 31
68.76, 14
84.06, 10
86.51, 15

[5]
Calculated X-ray diffraction stick pattern
Compound: CoSnHg2
Radiation: CuKα
Structure: a structure optimized by DFT (GGA-PBE)
Kinematic intensities with the Lorentz-polarization factor, no thermal factor.

Structural model:
```
data_CoSnHg2
_cell_length_a 8.912
_cell_length_b 8.912
_cell_length_c 4.901
_cell_angle_alpha 90.00
_cell_angle_beta 90.00
_cell_angle_gamma 90.00
_symmetry_space_group_name_H-M 'I -4 2 d'
_symmetry_Int_Tables_number 122
_symmetry_space_group_name_Hall 'I -4 2bw'
loop_
_atom_site_label
_atom_site_fract_x
_atom_site_fract_y
_atom_site_fract_z
Co1 0.000 0.000 0.000
Sn1 0.000 0.000 0.500
Hg1 0.136 0.750 0.125
```

Top 12 peaks for 2θ = 10–90°, in order of rising 2θ:
two_theta, I_rel
20.68, 13
28.32, 22
28.87, 100
31.75, 39
35.33, 19
39.45, 40
40.89, 32
45.52, 26
52.35, 16
54.80, 14
55.76, 18
72.95, 13

[6]
Calculated X-ray diffraction stick pattern
Compound: Sc6Sn2P
Radiation: CuKα
Structure: a structure optimized by DFT (GGA-PBE)
Kinematic intensities with the Lorentz-polarization factor, no thermal factor.

Structural model:
```
data_Sc6Sn2P
_cell_length_a 7.7400
_cell_length_b 7.7400
_cell_length_c 3.7877
_cell_angle_alpha 90.00
_cell_angle_beta 90.00
_cell_angle_gamma 120.00
_symmetry_space_group_name_H-M 'P -6 2 m'
_symmetry_Int_Tables_number 189
_symmetry_space_group_name_Hall 'P -6 -2'
loop_
_atom_site_label
_atom_site_fract_x
_atom_site_fract_y
_atom_site_fract_z
Sc1 0.0000 0.2463 0.0000
Sc2 0.0000 0.6106 0.5000
Sn1 0.3333 0.6667 0.0000
P1 0.0000 0.0000 0.5000
```

Top 12 peaks for 2θ = 10–90°, in order of rising 2θ:
two_theta, I_rel
13.21, 19
22.98, 40
23.49, 19
33.09, 100
35.43, 39
35.77, 60
40.37, 52
42.95, 42
48.04, 19
64.50, 26
65.51, 22
68.80, 24

[7]
Calculated X-ray diffraction stick pattern
Compound: Ti4ZnNi3
Radiation: CuKα
Structure: a structure optimized by DFT (GGA-PBE)
Kinematic intensities with the Lorentz-polarization factor, no thermal factor.

Structural model:
```
data_Ti4ZnNi3
_cell_length_a 4.2801
_cell_length_b 4.2801
_cell_length_c 21.3721
_cell_angle_alpha 90.00
_cell_angle_beta 90.00
_cell_angle_gamma 120.00
_symmetry_space_group_name_H-M 'R -3 m'
_symmetry_Int_Tables_number 166
_symmetry_space_group_name_Hall '-R 3 2"'
loop_
_atom_site_label
_atom_site_fract_x
_atom_site_fract_y
_atom_site_fract_z
Ti1 0.0000 0.0000 0.1184
Ti2 0.0000 0.0000 0.3711
Zn1 0.0000 0.0000 0.5000
Ni1 0.0000 0.0000 0.0000
Ni2 0.0000 0.0000 0.2381
```

Top 12 peaks for 2θ = 10–90°, in order of rising 2θ:
two_theta, I_rel
29.33, 7
37.89, 3
38.19, 7
41.67, 91
42.23, 100
58.02, 4
60.83, 27
75.68, 9
76.83, 26
77.21, 15
80.71, 2
81.09, 5

[8]
Calculated X-ray diffraction stick pattern
Compound: AlW
Radiation: CuKα
Structure: a structure optimized by DFT (GGA-PBE)
Kinematic intensities with the Lorentz-polarization factor, no thermal factor.

Structural model:
```
data_AlW
_cell_length_a 2.738
_cell_length_b 4.508
_cell_length_c 5.037
_cell_angle_alpha 90.00
_cell_angle_beta 97.22
_cell_angle_gamma 90.00
_symmetry_space_group_name_H-M 'P 1 21/m 1'
_symmetry_Int_Tables_number 11
_symmetry_space_group_name_Hall '-P 2yb'
loop_
_atom_site_label
_atom_site_fract_x
_atom_site_fract_y
_atom_site_fract_z
Al1 0.037 0.250 0.365
W1 0.412 0.750 0.135
```

Top 12 peaks for 2θ = 10–90°, in order of rising 2θ:
two_theta, I_rel
17.75, 99
26.63, 99
32.97, 35
38.70, 22
39.71, 50
40.00, 56
40.99, 98
41.32, 100
44.08, 20
52.78, 22
57.64, 34
73.36, 33

[9]
Calculated X-ray diffraction stick pattern
Compound: Ho2URu2
Radiation: CuKα
Structure: a structure optimized by DFT (GGA-PBE)
Kinematic intensities with the Lorentz-polarization factor, no thermal factor.

Structural model:
```
data_Ho2URu2
_cell_length_a 10.009
_cell_length_b 5.874
_cell_length_c 7.724
_cell_angle_alpha 90.00
_cell_angle_beta 100.21
_cell_angle_gamma 90.00
_symmetry_space_group_name_H-M 'C 1 2/c 1'
_symmetry_Int_Tables_number 15
_symmetry_space_group_name_Hall '-C 2yc'
loop_
_atom_site_label
_atom_site_fract_x
_atom_site_fract_y
_atom_site_fract_z
Ho1 0.151 0.130 0.151
U1 0.000 0.353 0.750
Ru1 0.124 0.369 0.514
```

Top 12 peaks for 2θ = 10–90°, in order of rising 2θ:
two_theta, I_rel
31.21, 29
31.61, 36
32.20, 56
32.69, 100
35.13, 59
36.22, 37
36.50, 27
38.28, 60
38.61, 68
39.94, 33
49.71, 28
64.25, 32

[10]
Calculated X-ray diffraction stick pattern
Compound: Ba3LiIrRuO9
Radiation: CuKα
Structure: a structure optimized by DFT (GGA-PBE)
Kinematic intensities with the Lorentz-polarization factor, no thermal factor.

Structural model:
```
data_Ba3LiIrRuO9
_cell_length_a 5.8798
_cell_length_b 5.8798
_cell_length_c 14.2312
_cell_angle_alpha 90.00
_cell_angle_beta 90.00
_cell_angle_gamma 120.00
_symmetry_space_group_name_H-M 'P 63 m c'
_symmetry_Int_Tables_number 186
_symmetry_space_group_name_Hall 'P 6c -2c'
loop_
_atom_site_label
_atom_site_fract_x
_atom_site_fract_y
_atom_site_fract_z
Ba1 0.0000 0.0000 0.0000
Ba2 0.3333 0.6667 0.1644
Ba3 0.3333 0.6667 0.8370
Li1 0.0000 0.0000 0.2507
Ir1 0.3333 0.6667 0.4116
Ru1 0.3333 0.6667 0.5918
O1 0.0161 0.5080 0.4990
O2 0.1760 0.3520 0.3368
O3 0.1761 0.3522 0.6628
```

Top 12 peaks for 2θ = 10–90°, in order of rising 2θ:
two_theta, I_rel
17.42, 21
18.51, 25
25.67, 24
30.40, 100
30.65, 38
36.15, 31
40.20, 19
43.72, 25
47.94, 18
54.03, 20
57.83, 18
63.26, 19

[11]
Calculated X-ray diffraction stick pattern
Compound: ScFe10B3
Radiation: CuKα
Structure: a structure optimized by DFT (GGA-PBE)
Kinematic intensities with the Lorentz-polarization factor, no thermal factor.

Structural model:
```
data_ScFe10B3
_cell_length_a 10.703
_cell_length_b 10.703
_cell_length_c 10.703
_cell_angle_alpha 90.00
_cell_angle_beta 90.00
_cell_angle_gamma 90.00
_symmetry_space_group_name_H-M 'F m -3 m'
_symmetry_Int_Tables_number 225
_symmetry_space_group_name_Hall '-F 4 2 3'
loop_
_atom_site_label
_atom_site_fract_x
_atom_site_fract_y
_atom_site_fract_z
Sc1 0.250 0.250 0.250
Fe1 0.000 0.168 0.168
Fe2 0.114 0.114 0.386
B1 0.000 0.000 0.273
```

Top 12 peaks for 2θ = 10–90°, in order of rising 2θ:
two_theta, I_rel
33.49, 13
37.58, 41
41.32, 18
43.96, 100
48.09, 15
50.44, 44
51.21, 11
57.08, 11
72.87, 11
75.35, 21
82.02, 11
89.77, 12

[12]
Calculated X-ray diffraction stick pattern
Compound: V5Ga3
Radiation: CuKα
Structure: a structure optimized by DFT (GGA-PBE)
Kinematic intensities with the Lorentz-polarization factor, no thermal factor.

Structural model:
```
data_V5Ga3
_cell_length_a 4.766
_cell_length_b 13.725
_cell_length_c 7.256
_cell_angle_alpha 90.00
_cell_angle_beta 109.03
_cell_angle_gamma 90.00
_symmetry_space_group_name_H-M 'C 1 2/m 1'
_symmetry_Int_Tables_number 12
_symmetry_space_group_name_Hall '-C 2y'
loop_
_atom_site_label
_atom_site_fract_x
_atom_site_fract_y
_atom_site_fract_z
V1 0.096 0.173 0.197
V2 0.192 0.401 0.346
V3 0.246 0.000 0.993
Ga1 0.000 0.254 0.500
Ga2 0.000 0.333 0.000
Ga3 0.189 0.000 0.336
```

Top 12 peaks for 2θ = 10–90°, in order of rising 2θ:
two_theta, I_rel
27.81, 10
29.10, 11
37.75, 16
38.42, 26
39.40, 11
41.63, 59
42.25, 55
42.86, 100
46.38, 19
54.44, 21
55.68, 11
71.61, 10